Starting from a crystal structure in Alexandria, relaxed with GGA-PBE, the X-ray diffraction stick pattern of Ac2PrPa3N8 was calculated for CuKα.
Lines closer than 0.1° are merged.

Cell and atoms:
Lattice parameters (Å, degrees): 7.287 7.287 7.287 58.96 58.96 58.96
Element x y z (fractional)
Ac (0.000, 0.000, 0.000)
Ac (0.383, 0.383, 0.383)
Pr (0.767, 0.767, 0.767)
Pa (0.382, 0.382, 0.884)
Pa (0.382, 0.884, 0.382)
Pa (0.884, 0.382, 0.382)
N (0.136, 0.136, 0.573)
N (0.136, 0.573, 0.136)
N (0.152, 0.152, 0.152)
N (0.181, 0.634, 0.634)
N (0.573, 0.136, 0.136)
N (0.615, 0.615, 0.615)
N (0.634, 0.181, 0.634)
N (0.634, 0.634, 0.181)

Principal peaks in the range 10 to 90 degrees two-theta, low angle first:
- 24.4 deg, I = 24
- 28.7 deg, I = 66
- 29.0 deg, I = 100
- 29.2 deg, I = 58
- 30.5 deg, I = 70
- 35.1 deg, I = 28
- 46.2 deg, I = 40
- 46.4 deg, I = 29
- 50.1 deg, I = 43
- 50.9 deg, I = 45